(1)
Computed powder diffraction line list
Compound: Cu2C3NCl5
Radiation: Cu Kα, 1.54184 Å
Structure: DFT lattice parameters and positions (GGA-PBE)

Most intense lines, 2θ from 10° to 90°, by angle:
| d [Å] | 2θ (°) | I/Imax |
| --- | --- | --- |
| 8.705 | 10.2 | 37 |
| 6.942 | 12.8 | 100 |
| 5.476 | 16.2 | 37 |
| 4.685 | 18.9 | 24 |
| 3.757 | 23.7 | 27 |
| 3.733 | 23.8 | 30 |
| 3.588 | 24.8 | 35 |
| 3.017 | 29.6 | 25 |

Structural model:
```
data_Cu2C3NCl5
_symmetry_space_group_name_H-M 'P 1'
_symmetry_Int_Tables_number 1
_symmetry_space_group_name_Hall 'P 1'
_cell_length_a 5.9894
_cell_length_b 9.6780
_cell_length_c 20.3347
_cell_angle_alpha 90.00
_cell_angle_beta 101.54
_cell_angle_gamma 90.00
loop_
_atom_site_label
_atom_site_type_symbol
_atom_site_fract_x
_atom_site_fract_y
_atom_site_fract_z
Cu1 Cu 0.0753 0.2034 0.4279
Cu2 Cu 0.0753 0.2966 0.9279
Cu3 Cu 0.3202 0.6119 0.5250
Cu4 Cu 0.3202 0.8881 0.0250
Cu5 Cu 0.6798 0.1119 0.9750
Cu6 Cu 0.6798 0.3881 0.4750
Cu7 Cu 0.9247 0.7034 0.0721
Cu8 Cu 0.9247 0.7966 0.5721
C1 C 0.1005 0.5690 0.1257
C2 C 0.1005 0.9310 0.6257
C3 C 0.3440 0.5930 0.7951
C4 C 0.3440 0.9070 0.2951
C5 C 0.4816 0.0072 0.6871
C6 C 0.4816 0.4928 0.1871
C7 C 0.5184 0.5072 0.8129
C8 C 0.5184 0.9928 0.3129
C9 C 0.6560 0.0930 0.7049
C10 C 0.6560 0.4070 0.2049
C11 C 0.8995 0.0690 0.3743
C12 C 0.8995 0.4310 0.8743
N1 N 0.2717 0.5186 0.1554
N2 N 0.2717 0.9814 0.6554
N3 N 0.7283 0.0186 0.3446
N4 N 0.7283 0.4814 0.8446
Cl1 Cl 0.0031 0.2198 0.0300
Cl2 Cl 0.0031 0.2802 0.5300
Cl3 Cl 0.1725 0.6291 0.6222
Cl4 Cl 0.1725 0.8709 0.1222
Cl5 Cl 0.3219 0.1206 0.2698
Cl6 Cl 0.3219 0.3794 0.7698
Cl7 Cl 0.4130 0.5442 0.4249
Cl8 Cl 0.4130 0.9558 0.9249
Cl9 Cl 0.4460 0.1712 0.4577
Cl10 Cl 0.4460 0.3288 0.9577
Cl11 Cl 0.5540 0.6712 0.0423
Cl12 Cl 0.5540 0.8288 0.5423
Cl13 Cl 0.5870 0.0442 0.0751
Cl14 Cl 0.5870 0.4558 0.5751
Cl15 Cl 0.6781 0.6206 0.2302
Cl16 Cl 0.6781 0.8794 0.7302
Cl17 Cl 0.8275 0.1291 0.8778
Cl18 Cl 0.8275 0.3709 0.3778
Cl19 Cl 0.9969 0.7198 0.4700
Cl20 Cl 0.9969 0.7802 0.9700
```

=====

(2)
Computed powder diffraction line list
Compound: CuCClO
Radiation: Cu Kα, 1.54184 Å
Structure: DFT lattice parameters and positions (GGA-PBE)

Most intense lines, 2θ from 10° to 90°, by angle:
| d [Å] | 2θ (°) | I/Imax |
| --- | --- | --- |
| 8.383 | 10.6 | 100 |
| 4.324 | 20.5 | 40 |
| 3.356 | 26.6 | 22 |
| 3.225 | 27.7 | 57 |
| 2.964 | 30.1 | 63 |
| 2.795 | 32.0 | 55 |
| 2.033 | 44.6 | 18 |
| 1.862 | 48.9 | 40 |

Structural model:
```
data_CuCClO
_symmetry_space_group_name_H-M 'P 1'
_symmetry_Int_Tables_number 1
_symmetry_space_group_name_Hall 'P 1'
_cell_length_a 3.6623
_cell_length_b 8.3834
_cell_length_c 5.0477
_cell_angle_alpha 90.00
_cell_angle_beta 90.00
_cell_angle_gamma 90.00
loop_
_atom_site_label
_atom_site_type_symbol
_atom_site_fract_x
_atom_site_fract_y
_atom_site_fract_z
Cu1 Cu 0.0000 0.1424 0.0000
Cu2 Cu 0.5000 0.8576 0.5000
C1 C 0.0000 0.3201 0.2017
C2 C 0.5000 0.6799 0.7017
Cl1 Cl 0.0000 0.8885 0.2057
Cl2 Cl 0.5000 0.1115 0.7057
O1 O 0.0000 0.4348 0.3274
O2 O 0.5000 0.5652 0.8274
```